Record 1
The following is a simulated X-ray diffraction stick pattern of GaCu10. It was derived from a structure optimized by DFT (PBE), using λ = 1.5418 Å (Cu Kα).
Neutral-atom scattering factors, no anomalous dispersion.

Largest 10 diffraction maxima, in order of rising 2θ, 5 to 70 degrees two-theta:
2θ 6.0, intensity 100, hkl 0 0 2
2θ 12.1, intensity 10, hkl 0 0 4
2θ 41.8, intensity 46, hkl 1 1 10
2θ 43.7, intensity 40, hkl 3 1 -3
2θ 44.3, intensity 39, hkl 1 1 11
2θ 44.5, intensity 38, hkl 3 1 -4
2θ 49.1, intensity 20, hkl 2 0 -14
2θ 50.9, intensity 18, hkl 4 0 7
2θ 52.1, intensity 20, hkl 0 2 0
2θ 52.2, intensity 7, hkl 0 2 1

```
data_GaCu10
_chemical_formula_sum 'Ga4 Cu40'
_symmetry_space_group_name_H-M 'C 1 2/m 1'
_symmetry_Int_Tables_number 12
_cell_length_a 7.9599
_cell_length_b 3.5080
_cell_length_c 29.2590
_cell_angle_alpha 90.00
_cell_angle_beta 90.25
_cell_angle_gamma 90.00
loop_
_symmetry_equiv_pos_as_xyz
'x,y,z'
'-x,-y,-z'
'-x,y,-z'
'x,-y,z'
'x+1/2,y+1/2,z'
'-x+1/2,-y+1/2,-z'
'-x+1/2,y+1/2,-z'
'x+1/2,-y+1/2,z'
loop_
_atom_site_label
_atom_site_type_symbol
_atom_site_fract_x
_atom_site_fract_y
_atom_site_fract_z
Ga1 Ga 0.1518 0.0000 0.1988
Cu1 Cu 0.0459 0.0000 0.3999
Cu2 Cu 0.0511 0.0000 0.6854
Cu3 Cu 0.0507 0.5000 0.2575
Cu4 Cu 0.0524 0.5000 0.5428
Cu5 Cu 0.1473 0.0000 0.7724
Cu6 Cu 0.1472 0.5000 0.3430
Cu7 Cu 0.1491 0.0000 0.4857
Cu8 Cu 0.1537 0.5000 0.6279
Cu9 Cu 0.2461 0.5000 0.4287
Cu10 Cu 0.2479 0.5000 0.7129
```



Record 2
The following is a simulated X-ray diffraction stick pattern of ZnB2H8. It was derived from a structure optimized by DFT (PBE), using λ = 1.5418 Å (Cu Kα).
Neutral-atom scattering factors, no anomalous dispersion.

Largest 10 diffraction maxima, in order of rising 2θ, 5 to 70 degrees two-theta:
2θ 15.0, intensity 100, hkl 1 0 1
2θ 23.8, intensity 40, hkl 1 1 2
2θ 25.8, intensity 10, hkl 1 0 3
2θ 26.4, intensity 14, hkl 2 0 0
2θ 30.5, intensity 14, hkl 2 1 1
2θ 37.2, intensity 17, hkl 2 1 3
2θ 40.1, intensity 11, hkl 2 0 4
2θ 45.0, intensity 15, hkl 3 1 2
2θ 48.6, intensity 7, hkl 2 2 4
2θ 49.2, intensity 10, hkl 1 1 6

```
data_ZnB2H8
_chemical_formula_sum 'Zn4 B8 H32'
_symmetry_space_group_name_H-M 'I 41 2 2'
_symmetry_Int_Tables_number 98
_symmetry_space_group_name_Hall 'I 4bw 2bw'
_cell_length_a 6.7643
_cell_length_b 6.7643
_cell_length_c 12.0502
_cell_angle_alpha 90.00
_cell_angle_beta 90.00
_cell_angle_gamma 90.00
loop_
_atom_site_label
_atom_site_type_symbol
_atom_site_fract_x
_atom_site_fract_y
_atom_site_fract_z
Zn1 Zn 0.0000 0.0000 0.0000
B1 B 0.0637 0.7500 0.1250
H1 H 0.0508 0.2427 0.2056
H2 H 0.1065 0.6702 0.3876
```



Record 3
The following is a simulated X-ray diffraction stick pattern of HfSbPd. It was derived from a structure optimized by DFT (PBE), using λ = 1.5418 Å (Cu Kα).
Neutral-atom scattering factors, no anomalous dispersion.

Largest 10 diffraction maxima, in order of rising 2θ, 5 to 70 degrees two-theta:
2θ 30.5, intensity 20, hkl 2 0 0
2θ 30.7, intensity 21, hkl 1 0 3
2θ 31.8, intensity 12, hkl 1 1 2
2θ 34.3, intensity 11, hkl 0 1 3
2θ 37.5, intensity 39, hkl 2 1 0
2θ 37.7, intensity 100, hkl 1 1 3
2θ 38.6, intensity 18, hkl 2 1 1
2θ 43.5, intensity 28, hkl 0 2 0
2θ 50.1, intensity 13, hkl 3 0 2
2θ 68.5, intensity 17, hkl 3 2 2

```
data_HfSbPd
_chemical_formula_sum 'Hf4 Sb4 Pd4'
_symmetry_space_group_name_H-M 'P n m a'
_symmetry_Int_Tables_number 62
_cell_length_a 5.8645
_cell_length_b 4.1613
_cell_length_c 10.0708
_cell_angle_alpha 90.00
_cell_angle_beta 90.00
_cell_angle_gamma 90.00
loop_
_symmetry_equiv_pos_as_xyz
'x,y,z'
'-x,-y,-z'
'-x+1/2,-y,z+1/2'
'x+1/2,y,-z+1/2'
'x+1/2,-y+1/2,-z+1/2'
'-x+1/2,y+1/2,z+1/2'
'-x,y+1/2,-z'
'x,-y+1/2,z'
loop_
_atom_site_label
_atom_site_type_symbol
_atom_site_fract_x
_atom_site_fract_y
_atom_site_fract_z
Hf1 Hf 0.2266 0.2500 0.1446
Sb1 Sb 0.1284 0.2500 0.8389
Pd1 Pd 0.1522 0.2500 0.4612
```



Record 4
The following is a simulated X-ray diffraction stick pattern of HoGaO3. It was derived from a structure optimized by DFT (PBE), using λ = 1.5418 Å (Cu Kα).
Neutral-atom scattering factors, no anomalous dispersion.

Largest 10 diffraction maxima, in order of rising 2θ, 5 to 70 degrees two-theta:
2θ 26.2, intensity 20, hkl 1 1 1
2θ 32.3, intensity 18, hkl 2 0 0
2θ 33.5, intensity 100, hkl 1 2 1
2θ 34.2, intensity 25, hkl 0 0 2
2θ 34.5, intensity 13, hkl 2 1 0
2θ 47.8, intensity 17, hkl 2 0 2
2θ 48.3, intensity 14, hkl 0 4 0
2θ 49.4, intensity 13, hkl 2 1 2
2θ 54.0, intensity 17, hkl 3 1 1
2θ 60.8, intensity 21, hkl 1 2 3

```
data_HoGaO3
_chemical_formula_sum 'Ho4 Ga4 O12'
_symmetry_space_group_name_H-M 'P n m a'
_symmetry_Int_Tables_number 62
_cell_length_a 5.5421
_cell_length_b 7.5356
_cell_length_c 5.2444
_cell_angle_alpha 90.00
_cell_angle_beta 90.00
_cell_angle_gamma 90.00
loop_
_symmetry_equiv_pos_as_xyz
'x,y,z'
'-x,-y,-z'
'-x+1/2,-y,z+1/2'
'x+1/2,y,-z+1/2'
'x+1/2,-y+1/2,-z+1/2'
'-x+1/2,y+1/2,z+1/2'
'-x,y+1/2,-z'
'x,-y+1/2,z'
loop_
_atom_site_label
_atom_site_type_symbol
_atom_site_fract_x
_atom_site_fract_y
_atom_site_fract_z
Ho1 Ho 0.0694 0.2500 0.0194
Ga1 Ga 0.0000 0.0000 0.5000
O1 O 0.0382 0.7500 0.3876
O2 O 0.1949 0.5571 0.8077
```



Record 5
The following is a simulated X-ray diffraction stick pattern of Al2CoSn. It was derived from a structure optimized by DFT (PBE), using λ = 1.5418 Å (Cu Kα).
Neutral-atom scattering factors, no anomalous dispersion.

Largest 10 diffraction maxima, in order of rising 2θ, 5 to 70 degrees two-theta:
2θ 21.0, intensity 100, hkl 2 0 0
2θ 24.3, intensity 60, hkl 1 1 1
2θ 33.7, intensity 45, hkl 0 2 1
2θ 37.9, intensity 66, hkl 1 1 2
2θ 38.8, intensity 81, hkl 3 1 1
2θ 40.0, intensity 39, hkl 2 2 1
2θ 44.7, intensity 26, hkl 0 2 2
2θ 45.8, intensity 30, hkl 1 3 0
2θ 48.9, intensity 44, hkl 3 1 2
2θ 55.6, intensity 24, hkl 3 3 0

```
data_Al2CoSn
_chemical_formula_sum 'Al8 Co4 Sn4'
_symmetry_space_group_name_H-M 'C m c m'
_symmetry_Int_Tables_number 63
_symmetry_space_group_name_Hall '-C 2c 2'
_cell_length_a 8.4805
_cell_length_b 6.1084
_cell_length_c 5.4164
_cell_angle_alpha 90.00
_cell_angle_beta 90.00
_cell_angle_gamma 90.00
loop_
_atom_site_label
_atom_site_type_symbol
_atom_site_fract_x
_atom_site_fract_y
_atom_site_fract_z
Al1 Al 0.1723 0.2272 0.2500
Co1 Co 0.0000 0.0000 0.0000
Sn1 Sn 0.0000 0.3520 0.7500
```



Record 6
The following is a simulated X-ray diffraction stick pattern of Cs2ZnI4. It was derived from a structure optimized by DFT (PBE), using λ = 1.5418 Å (Cu Kα).
Neutral-atom scattering factors, no anomalous dispersion.

Largest 10 diffraction maxima, in order of rising 2θ, 5 to 70 degrees two-theta:
2θ 21.3, intensity 28, hkl 0 2 0
2θ 23.7, intensity 46, hkl 1 0 2
2θ 23.9, intensity 70, hkl 2 0 -2
2θ 24.4, intensity 60, hkl 1 2 0
2θ 25.5, intensity 34, hkl 0 0 3
2θ 26.2, intensity 35, hkl 2 1 -2
2θ 27.4, intensity 100, hkl 1 2 -2
2θ 32.0, intensity 41, hkl 2 2 0
2θ 32.1, intensity 30, hkl 1 0 -4
2θ 43.4, intensity 29, hkl 0 4 0

```
data_Cs2ZnI4
_chemical_formula_sum 'Cs4 Zn2 I8'
_symmetry_space_group_name_H-M 'P 1 21/m 1'
_symmetry_Int_Tables_number 11
_cell_length_a 8.0342
_cell_length_b 8.3320
_cell_length_c 11.1498
_cell_angle_alpha 90.00
_cell_angle_beta 109.73
_cell_angle_gamma 90.00
loop_
_symmetry_equiv_pos_as_xyz
'x,y,z'
'-x,-y,-z'
'-x,y+1/2,-z'
'x,-y+1/2,z'
loop_
_atom_site_label
_atom_site_type_symbol
_atom_site_fract_x
_atom_site_fract_y
_atom_site_fract_z
Cs1 Cs 0.1914 0.2500 0.4078
Cs2 Cs 0.3049 0.2500 0.9659
Zn1 Zn 0.3099 0.7500 0.2199
I1 I 0.0901 0.7500 0.3489
I2 I 0.1529 0.7500 0.9689
I3 I 0.4743 0.5008 0.7173
```



Record 7
The following is a simulated X-ray diffraction stick pattern of Tl2PtBrCl3. It was derived from a structure optimized by DFT (PBE), using λ = 1.5418 Å (Cu Kα).
Neutral-atom scattering factors, no anomalous dispersion.

Largest 10 diffraction maxima, in order of rising 2θ, 5 to 70 degrees two-theta:
2θ 12.2, intensity 71, hkl 0 1 1
2θ 24.1, intensity 32, hkl 1 1 1
2θ 24.5, intensity 48, hkl 0 2 2
2θ 26.9, intensity 100, hkl 1 2 0
2θ 27.3, intensity 71, hkl 1 0 2
2θ 32.3, intensity 47, hkl 1 2 2
2θ 34.3, intensity 44, hkl 0 4 0
2θ 35.5, intensity 36, hkl 0 0 4
2θ 44.4, intensity 35, hkl 1 4 2
2θ 45.1, intensity 50, hkl 1 2 4

```
data_Tl2PtBrCl3
_chemical_formula_sum 'Tl4 Pt2 Br2 Cl6'
_symmetry_space_group_name_H-M 'A m m 2'
_symmetry_Int_Tables_number 38
_cell_length_a 4.2912
_cell_length_b 10.4528
_cell_length_c 10.1157
_cell_angle_alpha 90.00
_cell_angle_beta 90.00
_cell_angle_gamma 90.00
loop_
_symmetry_equiv_pos_as_xyz
'x,y,z'
'-x,-y,z'
'-x,y,z'
'x,-y,z'
'x,y+1/2,z+1/2'
'-x,-y+1/2,z+1/2'
'-x,y+1/2,z+1/2'
'x,-y+1/2,z+1/2'
loop_
_atom_site_label
_atom_site_type_symbol
_atom_site_fract_x
_atom_site_fract_y
_atom_site_fract_z
Tl1 Tl 0.0000 0.2416 0.0000
Pt1 Pt 0.5000 0.0000 0.2496
Br1 Br 0.5000 0.0000 0.4915
Cl1 Cl 0.5000 0.0000 0.0191
Cl2 Cl 0.5000 0.2221 0.2493
```



Record 8
The following is a simulated X-ray diffraction stick pattern of Tb2DyAl3Si2Ir. It was derived from a structure optimized by DFT (PBE), using λ = 1.5418 Å (Cu Kα).
Neutral-atom scattering factors, no anomalous dispersion.

Largest 10 diffraction maxima, in order of rising 2θ, 5 to 70 degrees two-theta:
2θ 21.0, intensity 59, hkl 1 0 0
2θ 25.7, intensity 30, hkl 0 3 1
2θ 29.8, intensity 56, hkl 0 4 0
2θ 33.4, intensity 51, hkl 1 3 1
2θ 36.7, intensity 100, hkl 1 4 0
2θ 39.7, intensity 21, hkl 0 1 3
2θ 42.8, intensity 23, hkl 2 0 0
2θ 45.4, intensity 38, hkl 0 6 0
2θ 53.0, intensity 23, hkl 2 4 0
2θ 59.7, intensity 24, hkl 1 5 3

```
data_Tb2DyAl3Si2Ir
_chemical_formula_sum 'Tb4 Dy2 Al6 Si4 Ir2'
_symmetry_space_group_name_H-M 'A m m 2'
_symmetry_Int_Tables_number 38
_cell_length_a 4.2270
_cell_length_b 12.0006
_cell_length_c 6.9313
_cell_angle_alpha 90.00
_cell_angle_beta 90.00
_cell_angle_gamma 90.00
loop_
_symmetry_equiv_pos_as_xyz
'x,y,z'
'-x,-y,z'
'-x,y,z'
'x,-y,z'
'x,y+1/2,z+1/2'
'-x,-y+1/2,z+1/2'
'-x,y+1/2,z+1/2'
'x,-y+1/2,z+1/2'
loop_
_atom_site_label
_atom_site_type_symbol
_atom_site_fract_x
_atom_site_fract_y
_atom_site_fract_z
Tb1 Tb 0.0000 0.2079 0.0000
Dy1 Dy 0.0000 0.0000 0.3766
Al1 Al 0.5000 0.0000 0.0247
Al2 Al 0.5000 0.1162 0.6755
Si1 Si 0.5000 0.1662 0.2921
Ir1 Ir 0.0000 0.0000 0.7910
```